# 1
Simulated PXRD pattern of CsUP2H2O8 for copper Kα, from a cell relaxed with PBE.
Intensities are scaled so that the largest is 100.

Atomic structure:
Unit cell a=8.538 b=10.807 c=10.906 alpha=85.63 beta=84.46 gamma=88.56
Sites, in units of the cell vectors:
Cs1 0.153 0.269 0.065
Cs2 0.333 0.225 0.582
Cs3 0.667 0.775 0.418
Cs4 0.847 0.731 0.935
U1 0.196 0.868 0.301
U2 0.328 0.641 0.806
U3 0.672 0.359 0.194
U4 0.804 0.132 0.699
P1 0.100 0.877 0.631
P2 0.234 0.575 0.496
P3 0.273 0.939 0.959
P4 0.399 0.629 0.127
P5 0.601 0.371 0.873
P6 0.727 0.061 0.041
P7 0.766 0.425 0.504
P8 0.900 0.123 0.369
H1 0.071 0.595 0.519
H2 0.242 0.588 0.137
H3 0.246 0.937 0.619
H4 0.438 0.937 0.935
H5 0.562 0.063 0.065
H6 0.754 0.063 0.381
H7 0.758 0.412 0.863
H8 0.929 0.405 0.481
O1 0.024 0.041 0.303
O2 0.050 0.766 0.256
O3 0.059 0.855 0.500
O4 0.124 0.753 0.708
O5 0.177 0.544 0.892
O6 0.203 0.044 0.879
O7 0.215 0.812 0.926
O8 0.236 0.959 0.097
O9 0.268 0.466 0.415
O10 0.299 0.548 0.622
O11 0.304 0.695 0.429
O12 0.346 0.962 0.356
O13 0.398 0.751 0.192
O14 0.455 0.654 0.989
O15 0.473 0.745 0.725
O16 0.500 0.472 0.812
O17 0.500 0.528 0.188
O18 0.527 0.255 0.275
O19 0.545 0.346 0.011
O20 0.602 0.249 0.808
O21 0.654 0.038 0.644
O22 0.696 0.305 0.571
O23 0.701 0.452 0.378
O24 0.732 0.534 0.585
O25 0.764 0.041 0.903
O26 0.785 0.188 0.074
O27 0.797 0.956 0.121
O28 0.823 0.456 0.108
O29 0.876 0.247 0.292
O30 0.941 0.145 0.500
O31 0.950 0.234 0.744
O32 0.976 0.959 0.697

The 8 most intense peaks (15° ≤ 2θ ≤ 90°), sorted by position:
2theta, d (Å), I_rel
17.8, 4.980, 100.0
18.9, 4.691, 80.9
19.8, 4.493, 47.9
20.9, 4.249, 61.0
22.3, 3.988, 49.0
26.5, 3.365, 32.2
27.1, 3.286, 64.6
28.5, 3.135, 45.1



# 2
Simulated PXRD pattern of CsZn2P2HO8 for copper Kα, from a cell relaxed with PBE.
Intensities are scaled so that the largest is 100.

Atomic structure:
Unit cell a=8.762 b=8.762 c=7.964 alpha=90.00 beta=90.00 gamma=135.95
Sites, in units of the cell vectors:
Cs1 0.000 0.000 0.000
Cs2 0.500 0.500 0.500
Zn1 0.017 0.483 0.250
Zn2 0.483 0.017 0.750
Zn3 0.517 0.983 0.250
Zn4 0.983 0.517 0.750
P1 0.143 0.857 0.461
P2 0.357 0.643 0.961
P3 0.643 0.357 0.039
P4 0.857 0.143 0.539
H1 0.000 0.000 0.500
H2 0.500 0.500 0.000
O1 0.038 0.356 0.439
O2 0.053 0.947 0.393
O3 0.144 0.462 0.061
O4 0.201 0.799 0.301
O5 0.299 0.701 0.801
O6 0.356 0.038 0.561
O7 0.447 0.553 0.893
O8 0.462 0.144 0.939
O9 0.538 0.856 0.061
O10 0.553 0.447 0.107
O11 0.644 0.962 0.439
O12 0.701 0.299 0.199
O13 0.799 0.201 0.699
O14 0.856 0.538 0.939
O15 0.947 0.053 0.607
O16 0.962 0.644 0.561

The 8 most intense peaks (15° ≤ 2θ ≤ 90°), sorted by position:
2theta, d (Å), I_rel
21.9, 4.061, 24.3
24.0, 3.701, 100.0
24.9, 3.576, 82.0
29.3, 3.046, 59.0
32.7, 2.735, 18.4
35.4, 2.534, 33.5
40.3, 2.240, 48.0
42.0, 2.150, 29.7



# 3
Simulated PXRD pattern of Cs3PuH8O9 for copper Kα, from a cell relaxed with PBE.
Intensities are scaled so that the largest is 100.

Atomic structure:
Unit cell a=8.719 b=8.719 c=8.204 alpha=93.05 beta=93.05 gamma=84.18
Sites, in units of the cell vectors:
Cs1 0.069 0.931 0.750
Cs2 0.211 0.389 0.549
Cs3 0.389 0.211 0.049
Cs4 0.611 0.789 0.951
Cs5 0.789 0.611 0.451
Cs6 0.931 0.069 0.250
Pu1 0.000 0.500 0.000
Pu2 0.500 0.000 0.500
H1 0.084 0.717 0.307
H2 0.226 0.750 0.435
H3 0.250 0.774 0.065
H4 0.283 0.916 0.193
H5 0.311 0.556 0.917
H6 0.390 0.547 0.164
H7 0.444 0.689 0.583
H8 0.453 0.610 0.336
H9 0.547 0.390 0.664
H10 0.556 0.311 0.417
H11 0.610 0.453 0.836
H12 0.689 0.444 0.083
H13 0.717 0.084 0.807
H14 0.750 0.226 0.935
H15 0.774 0.250 0.565
H16 0.916 0.283 0.693
O1 0.041 0.404 0.201
O2 0.071 0.314 0.882
O3 0.110 0.748 0.421
O4 0.252 0.890 0.079
O5 0.256 0.585 0.016
O6 0.314 0.071 0.382
O7 0.404 0.041 0.701
O8 0.415 0.744 0.484
O9 0.475 0.525 0.250
O10 0.525 0.475 0.750
O11 0.585 0.256 0.516
O12 0.596 0.959 0.299
O13 0.686 0.929 0.618
O14 0.744 0.415 0.984
O15 0.748 0.110 0.921
O16 0.890 0.252 0.579
O17 0.929 0.686 0.118
O18 0.959 0.596 0.799

The 8 most intense peaks (15° ≤ 2θ ≤ 90°), sorted by position:
2theta, d (Å), I_rel
15.2, 5.814, 35.6
20.5, 4.332, 28.9
22.0, 4.038, 27.2
24.9, 3.573, 54.9
26.0, 3.421, 100.0
26.6, 3.350, 41.0
27.6, 3.227, 28.2
33.4, 2.683, 32.2